1.
K3Au2: computed PXRD pattern (Cu Kα X-rays), based on a structure optimized by DFT (PBE).
Neutral-atom scattering factors, no anomalous dispersion.

Main lines, most intense first (10 to 90 degrees two-theta):
| index | 2theta | I_rel |
| --- | --- | --- |
| 1 0 1 | 19.8 | 100.0 |
| 1 2 1 | 31.1 | 82.3 |
| 0 0 2 | 18.6 | 72.3 |
| 1 1 2 | 28.3 | 50.7 |
| 1 0 3 | 33.2 | 46.4 |
| 0 2 2 | 30.4 | 35.4 |

Cell and atoms:
```
data_K3Au2
_chemical_formula_sum 'K6 Au4'
_space_group_name_H-M_alt 'I m m m'
_space_group_IT_number 71
_space_group_name_Hall '-I 2 2'
_cell_length_a 5.0862
_cell_length_b 7.4731
_cell_length_c 9.5590
_cell_angle_alpha 90.00
_cell_angle_beta 90.00
_cell_angle_gamma 90.00
loop_
_atom_site_label
_atom_site_fract_x
_atom_site_fract_y
_atom_site_fract_z
_atom_site_occupancy
K1 0.0000 0.0000 0.0000 1
K2 0.0000 0.5000 0.2039 1
Au1 0.0000 0.1926 0.5000 1
```

2.
Nb3SI4Br3: computed PXRD pattern (Cu Kα X-rays), based on a structure optimized by DFT (PBE).
Neutral-atom scattering factors, no anomalous dispersion.

Main lines, most intense first (10 to 90 degrees two-theta):
| index | 2theta | I_rel |
| --- | --- | --- |
| 2 0 1 | 30.3 | 100.0 |
| 2 0 2 | 37.9 | 43.7 |
| 0 0 1 | 12.8 | 39.2 |
| 0 2 3 | 48.3 | 28.6 |
| 2 2 0 | 48.4 | 22.6 |
| 0 4 1 | 58.2 | 16.6 |

Cell and atoms:
```
data_Nb3SI4Br3
_chemical_formula_sum 'Nb3 S1 I4 Br3'
_space_group_name_H-M_alt 'P 3 m 1'
_space_group_IT_number 156
_space_group_name_Hall 'P 3 -2"'
_cell_length_a 7.5173
_cell_length_b 7.5173
_cell_length_c 6.9389
_cell_angle_alpha 90.00
_cell_angle_beta 90.00
_cell_angle_gamma 120.00
loop_
_atom_site_label
_atom_site_fract_x
_atom_site_fract_y
_atom_site_fract_z
_atom_site_occupancy
Nb1 0.2033 0.4066 0.0000 1
S1 0.3333 0.6667 0.7510 1
I1 0.0000 0.0000 0.2163 1
I2 0.3381 0.1691 0.7723 1
Br1 0.0060 0.5030 0.2445 1
```

3.
TbSiH2O4: computed PXRD pattern (Cu Kα X-rays), based on a structure optimized by DFT (PBE).
Neutral-atom scattering factors, no anomalous dispersion.

Main lines, most intense first (10 to 90 degrees two-theta):
| index | 2theta | I_rel |
| --- | --- | --- |
| 1 1 -4 | 35.1 | 100.0 |
| 1 0 0 | 19.5 | 99.9 |
| 0 2 0 | 26.9 | 71.7 |
| 1 1 -2 | 25.0 | 63.0 |
| 0 1 2 | 20.9 | 62.9 |
| 1 1 2 | 32.0 | 50.4 |

Cell and atoms:
```
data_TbSiH2O4
_chemical_formula_sum 'Tb4 Si4 H8 O16'
_space_group_name_H-M_alt 'P 1 21/c 1'
_space_group_IT_number 14
_space_group_name_Hall '-P 2ybc'
_cell_length_a 4.7912
_cell_length_b 6.6361
_cell_length_c 11.6410
_cell_angle_alpha 90.00
_cell_angle_beta 107.97
_cell_angle_gamma 90.00
loop_
_atom_site_label
_atom_site_fract_x
_atom_site_fract_y
_atom_site_fract_z
_atom_site_occupancy
Tb1 0.0197 0.2474 0.3291 1
Si1 0.2734 0.2350 0.1068 1
H1 0.2905 0.7457 0.4871 1
H2 0.4627 0.0130 0.7430 1
O1 0.0717 0.7377 0.9914 1
O2 0.2087 0.0500 0.1977 1
O3 0.2496 0.0563 0.6993 1
O4 0.4116 0.2336 0.9915 1
```